Entry 1:
For Tl3H2Cl2, a GGA-PBE-relaxed structure gives the calculated XRD peak list in this record (Cu Kα, 1.54184 Å).
Kinematic intensities with the Lorentz-polarization factor, no thermal factor.

Cell and atoms:
Unit cell a=3.6898 b=5.2045 c=17.4565 alpha=90.00 beta=90.00 gamma=90.00
Positions (direct):
Tl 0.0000 0.0000 0.0000
Tl 0.0000 0.0000 0.3530
Tl 0.0000 0.0000 0.6470
Tl 0.5000 0.5000 0.1470
Tl 0.5000 0.5000 0.5000
Tl 0.5000 0.5000 0.8530
H 0.0000 0.2611 0.5000
H 0.0000 0.7389 0.5000
H 0.5000 0.2389 0.0000
H 0.5000 0.7611 0.0000
Cl 0.0000 0.0000 0.1724
Cl 0.0000 0.0000 0.8276
Cl 0.5000 0.5000 0.3276
Cl 0.5000 0.5000 0.6724

The 10 most intense peaks (10° ≤ 2θ ≤ 90°), most intense first:
3.879 Å, 2θ = 22.9°, intensity 100; 3.010 Å, 2θ = 29.7°, intensity 98; 3.116 Å, 2θ = 28.6°, intensity 58; 2.092 Å, 2θ = 43.2°, intensity 50; 1.997 Å, 2θ = 45.4°, intensity 35; 2.602 Å, 2θ = 34.5°, intensity 33; 2.909 Å, 2θ = 30.7°, intensity 32; 1.666 Å, 2θ = 55.1°, intensity 20; 1.940 Å, 2θ = 46.8°, intensity 20; 2.899 Å, 2θ = 30.8°, intensity 16

***

Entry 2:
For CsPr2Re2N6, a GGA-PBE-relaxed structure gives the calculated XRD peak list in this record (Cu Kα, 1.54184 Å).
Kinematic intensities with the Lorentz-polarization factor, no thermal factor.

Cell and atoms:
Unit cell a=6.7723 b=6.7901 c=7.2193 alpha=63.29 beta=63.47 gamma=61.99
Positions (direct):
Cs 0.0000 0.0000 0.0000
Pr 0.3273 0.3271 0.2801
Pr 0.6727 0.6729 0.7199
Re 0.3825 0.3812 0.6817
Re 0.6175 0.6188 0.3183
N 0.0887 0.5071 0.6668
N 0.4246 0.4208 0.8969
N 0.4914 0.9112 0.3349
N 0.5086 0.0888 0.6651
N 0.5754 0.5792 0.1031
N 0.9113 0.4929 0.3332

The 10 most intense peaks (10° ≤ 2θ ≤ 90°), most intense first:
5.709 Å, 2θ = 15.5°, intensity 100; 3.492 Å, 2θ = 25.5°, intensity 97; 2.986 Å, 2θ = 29.9°, intensity 93; 5.004 Å, 2θ = 17.7°, intensity 49; 3.586 Å, 2θ = 24.8°, intensity 42; 2.421 Å, 2θ = 37.1°, intensity 34; 3.138 Å, 2θ = 28.4°, intensity 28; 2.955 Å, 2θ = 30.2°, intensity 26; 2.946 Å, 2θ = 30.3°, intensity 25; 1.746 Å, 2θ = 52.4°, intensity 25

***

Entry 3:
For Ho7RuSe5, a GGA-PBE-relaxed structure gives the calculated XRD peak list in this record (Cu Kα, 1.54184 Å).
Kinematic intensities with the Lorentz-polarization factor, no thermal factor.

Cell and atoms:
Unit cell a=6.9687 b=6.9687 c=24.4447 alpha=90.00 beta=90.00 gamma=147.31
Positions (direct):
Ho 0.0439 0.9561 0.5000
Ho 0.1319 0.8681 0.2172
Ho 0.1470 0.8530 0.7906
Ho 0.2854 0.7146 0.4338
Ho 0.3054 0.6946 0.5685
Ho 0.3933 0.6067 0.1222
Ho 0.4216 0.5784 0.8645
Ho 0.5784 0.4216 0.3645
Ho 0.6067 0.3933 0.6222
Ho 0.6946 0.3054 0.0685
Ho 0.7146 0.2854 0.9338
Ho 0.8530 0.1470 0.2906
Ho 0.8681 0.1319 0.7172
Ho 0.9561 0.0439 0.0000
Ru 0.3103 0.6897 0.0110
Ru 0.6897 0.3103 0.5110
Se 0.0479 0.9521 0.1110
Se 0.0651 0.9349 0.8961
Se 0.2134 0.7866 0.3239
Se 0.2281 0.7719 0.6804
Se 0.4903 0.5097 0.2510
Se 0.5097 0.4903 0.7510
Se 0.7719 0.2281 0.1804
Se 0.7866 0.2134 0.8239
Se 0.9349 0.0651 0.3961
Se 0.9521 0.0479 0.6110

The 10 most intense peaks (10° ≤ 2θ ≤ 90°), most intense first:
2.863 Å, 2θ = 31.2°, intensity 100; 3.095 Å, 2θ = 28.8°, intensity 74; 2.769 Å, 2θ = 32.3°, intensity 62; 2.202 Å, 2θ = 41.0°, intensity 49; 2.779 Å, 2θ = 32.2°, intensity 44; 1.961 Å, 2θ = 46.3°, intensity 37; 2.923 Å, 2θ = 30.6°, intensity 33; 1.656 Å, 2θ = 55.5°, intensity 31; 2.014 Å, 2θ = 45.0°, intensity 29; 2.028 Å, 2θ = 44.7°, intensity 29

***

Entry 4:
For AcH8Ir2Pt, a GGA-PBE-relaxed structure gives the calculated XRD peak list in this record (Cu Kα, 1.54184 Å).
Kinematic intensities with the Lorentz-polarization factor, no thermal factor.

Cell and atoms:
Unit cell a=5.0947 b=5.0947 c=6.2320 alpha=106.60 beta=106.60 gamma=49.57
Positions (direct):
Ac 0.0000 0.0000 0.0000
H 0.1386 0.6088 0.2785
H 0.1970 0.1970 0.3696
H 0.3294 0.3294 0.9344
H 0.3912 0.8614 0.7215
H 0.6088 0.1386 0.2785
H 0.6706 0.6706 0.0656
H 0.8030 0.8030 0.6304
H 0.8614 0.3912 0.7215
Ir 0.2404 0.2404 0.6559
Ir 0.7596 0.7596 0.3441
Pt 0.5000 0.5000 0.5000

The 10 most intense peaks (10° ≤ 2θ ≤ 90°), most intense first:
3.036 Å, 2θ = 29.4°, intensity 100; 2.471 Å, 2θ = 36.4°, intensity 66; 2.915 Å, 2θ = 30.7°, intensity 32; 2.195 Å, 2θ = 41.1°, intensity 24; 2.136 Å, 2θ = 42.3°, intensity 24; 5.915 Å, 2θ = 15.0°, intensity 17; 1.531 Å, 2θ = 60.5°, intensity 16; 2.517 Å, 2θ = 35.7°, intensity 16; 1.723 Å, 2θ = 53.2°, intensity 14; 1.769 Å, 2θ = 51.7°, intensity 11

***

Entry 5:
For MnInSn2S5, a GGA-PBE-relaxed structure gives the calculated XRD peak list in this record (Cu Kα, 1.54184 Å).
Kinematic intensities with the Lorentz-polarization factor, no thermal factor.

Cell and atoms:
Unit cell a=9.3317 b=9.3317 c=12.6845 alpha=90.00 beta=90.00 gamma=156.31
Positions (direct):
Mn 0.0734 0.9266 0.5000
Mn 0.9266 0.0734 0.0000
In 0.2823 0.7177 0.1630
In 0.7177 0.2823 0.6630
Sn 0.3516 0.6484 0.8199
Sn 0.4140 0.5860 0.4805
Sn 0.5860 0.4140 0.9805
Sn 0.6484 0.3516 0.3199
S 0.0166 0.9834 0.8749
S 0.1406 0.8594 0.1752
S 0.1985 0.8015 0.5242
S 0.2081 0.7919 0.8030
S 0.4616 0.5384 0.0926
S 0.5384 0.4616 0.5926
S 0.7919 0.2081 0.3030
S 0.8015 0.1985 0.0242
S 0.8594 0.1406 0.6752
S 0.9834 0.0166 0.3749

The 10 most intense peaks (10° ≤ 2θ ≤ 90°), most intense first:
2.805 Å, 2θ = 31.9°, intensity 100; 5.209 Å, 2θ = 17.0°, intensity 60; 2.960 Å, 2θ = 30.2°, intensity 30; 3.141 Å, 2θ = 28.4°, intensity 28; 2.441 Å, 2θ = 36.8°, intensity 25; 3.837 Å, 2θ = 23.2°, intensity 22; 1.783 Å, 2θ = 51.2°, intensity 20; 1.915 Å, 2θ = 47.5°, intensity 18; 1.998 Å, 2θ = 45.4°, intensity 18; 2.745 Å, 2θ = 32.6°, intensity 16

***

Entry 6:
For InHg6I, a GGA-PBE-relaxed structure gives the calculated XRD peak list in this record (Cu Kα, 1.54184 Å).
Kinematic intensities with the Lorentz-polarization factor, no thermal factor.

Cell and atoms:
Unit cell a=14.0186 b=7.4912 c=5.2322 alpha=90.00 beta=107.93 gamma=90.00
Positions (direct):
In 0.0000 0.0000 0.0000
In 0.5000 0.5000 0.0000
Hg 0.1349 0.0000 0.5979
Hg 0.1583 0.2953 0.1284
Hg 0.1583 0.7047 0.1284
Hg 0.3417 0.2047 0.8716
Hg 0.3417 0.7953 0.8716
Hg 0.3651 0.5000 0.4021
Hg 0.6349 0.5000 0.5979
Hg 0.6583 0.2047 0.1284
Hg 0.6583 0.7953 0.1284
Hg 0.8417 0.2953 0.8716
Hg 0.8417 0.7047 0.8716
Hg 0.8651 0.0000 0.4021
I 0.0000 0.5000 0.5000
I 0.5000 0.0000 0.5000

The 10 most intense peaks (10° ≤ 2θ ≤ 90°), most intense first:
2.560 Å, 2θ = 35.0°, intensity 100; 2.466 Å, 2θ = 36.4°, intensity 74; 2.993 Å, 2θ = 29.9°, intensity 74; 2.610 Å, 2θ = 34.4°, intensity 73; 3.512 Å, 2θ = 25.4°, intensity 66; 2.706 Å, 2θ = 33.1°, intensity 60; 3.269 Å, 2θ = 27.3°, intensity 45; 2.177 Å, 2θ = 41.5°, intensity 42; 1.645 Å, 2θ = 55.9°, intensity 38; 4.283 Å, 2θ = 20.7°, intensity 36

***

Entry 7:
For ThSi2Mo2, a GGA-PBE-relaxed structure gives the calculated XRD peak list in this record (Cu Kα, 1.54184 Å).
Kinematic intensities with the Lorentz-polarization factor, no thermal factor.

Cell and atoms:
Unit cell a=10.6192 b=10.6192 c=10.6192 alpha=156.76 beta=156.25 gamma=33.47
Positions (direct):
Th 0.4093 0.1593 0.2500
Th 0.5907 0.8407 0.7500
Si 0.0265 0.2765 0.7500
Si 0.1448 0.3948 0.7500
Si 0.8552 0.6052 0.2500
Si 0.9735 0.7235 0.2500
Mo 0.2136 0.9636 0.2500
Mo 0.2882 0.5382 0.7500
Mo 0.7118 0.4618 0.2500
Mo 0.7864 0.0364 0.7500

The 10 most intense peaks (10° ≤ 2θ ≤ 90°), most intense first:
2.620 Å, 2θ = 34.2°, intensity 100; 3.618 Å, 2θ = 24.6°, intensity 38; 2.270 Å, 2θ = 39.7°, intensity 38; 2.978 Å, 2θ = 30.0°, intensity 33; 2.186 Å, 2θ = 41.3°, intensity 31; 4.274 Å, 2θ = 20.8°, intensity 30; 2.139 Å, 2θ = 42.3°, intensity 30; 2.928 Å, 2θ = 30.5°, intensity 28; 1.332 Å, 2θ = 70.8°, intensity 20; 3.390 Å, 2θ = 26.3°, intensity 20

***

Entry 8:
For Sm6Cd2Os, a GGA-PBE-relaxed structure gives the calculated XRD peak list in this record (Cu Kα, 1.54184 Å).
Kinematic intensities with the Lorentz-polarization factor, no thermal factor.

Cell and atoms:
Unit cell a=8.7689 b=8.7689 c=8.7689 alpha=113.16 beta=109.20 gamma=106.14
Positions (direct):
Sm 0.0759 0.2429 0.8330
Sm 0.1817 0.2698 0.4515
Sm 0.1817 0.7302 0.9119
Sm 0.2616 0.5940 0.3324
Sm 0.2616 0.9293 0.6676
Sm 0.4099 0.2429 0.1670
Sm 0.5901 0.7571 0.8330
Sm 0.7384 0.0707 0.3324
Sm 0.7384 0.4060 0.6676
Sm 0.8183 0.2698 0.0881
Sm 0.8183 0.7302 0.5485
Sm 0.9241 0.7571 0.1670
Cd 0.3599 0.0000 0.3599
Cd 0.5000 0.3565 0.8565
Cd 0.5000 0.6435 0.1435
Cd 0.6401 0.0000 0.6401
Os 0.0000 0.0000 0.0000
Os 0.0000 0.5000 0.5000

The 10 most intense peaks (10° ≤ 2θ ≤ 90°), most intense first:
2.916 Å, 2θ = 30.7°, intensity 100; 2.733 Å, 2θ = 32.8°, intensity 91; 2.634 Å, 2θ = 34.0°, intensity 81; 2.682 Å, 2θ = 33.4°, intensity 70; 2.652 Å, 2θ = 33.8°, intensity 65; 2.177 Å, 2θ = 41.5°, intensity 49; 1.539 Å, 2θ = 60.1°, intensity 31; 3.074 Å, 2θ = 29.0°, intensity 30; 1.679 Å, 2θ = 54.7°, intensity 25; 1.599 Å, 2θ = 57.7°, intensity 22

***

Entry 9:
For Li3SiF8, a GGA-PBE-relaxed structure gives the calculated XRD peak list in this record (Cu Kα, 1.54184 Å).
Kinematic intensities with the Lorentz-polarization factor, no thermal factor.

Cell and atoms:
Unit cell a=4.8454 b=4.8454 c=4.8454 alpha=90.00 beta=90.00 gamma=90.00
Positions (direct):
Li 0.0000 0.0000 0.5000
Li 0.0000 0.5000 0.0000
Li 0.5000 0.0000 0.0000
Si 0.5000 0.5000 0.5000
F 0.2712 0.2712 0.2712
F 0.2712 0.2712 0.7288
F 0.2712 0.7288 0.2712
F 0.2712 0.7288 0.7288
F 0.7288 0.2712 0.2712
F 0.7288 0.2712 0.7288
F 0.7288 0.7288 0.2712
F 0.7288 0.7288 0.7288

The 10 most intense peaks (10° ≤ 2θ ≤ 90°), most intense first:
1.713 Å, 2θ = 53.5°, intensity 100; 4.845 Å, 2θ = 18.3°, intensity 67; 2.423 Å, 2θ = 37.1°, intensity 56; 2.797 Å, 2θ = 32.0°, intensity 19; 3.426 Å, 2θ = 26.0°, intensity 19; 1.344 Å, 2θ = 70.0°, intensity 14; 1.211 Å, 2θ = 79.1°, intensity 11; 1.615 Å, 2θ = 57.0°, intensity 10; 1.461 Å, 2θ = 63.7°, intensity 7; 1.399 Å, 2θ = 66.9°, intensity 5

***

Entry 10:
For Pr2NiSn3Pt4, a GGA-PBE-relaxed structure gives the calculated XRD peak list in this record (Cu Kα, 1.54184 Å).
Kinematic intensities with the Lorentz-polarization factor, no thermal factor.

Cell and atoms:
Unit cell a=4.3832 b=4.3832 c=11.2639 alpha=90.00 beta=90.00 gamma=90.00
Positions (direct):
Pr 0.0000 0.5000 0.2329
Pr 0.5000 0.0000 0.7671
Ni 0.5000 0.5000 0.0000
Sn 0.0000 0.0000 0.0000
Sn 0.0000 0.5000 0.6358
Sn 0.5000 0.0000 0.3642
Pt 0.0000 0.0000 0.5000
Pt 0.0000 0.5000 0.8677
Pt 0.5000 0.0000 0.1323
Pt 0.5000 0.5000 0.5000

The 10 most intense peaks (10° ≤ 2θ ≤ 90°), most intense first:
2.715 Å, 2θ = 33.0°, intensity 100; 2.192 Å, 2θ = 41.2°, intensity 72; 2.851 Å, 2θ = 31.4°, intensity 55; 2.084 Å, 2θ = 43.4°, intensity 48; 2.004 Å, 2θ = 45.3°, intensity 31; 1.738 Å, 2θ = 52.7°, intensity 26; 1.550 Å, 2θ = 59.7°, intensity 24; 1.479 Å, 2θ = 62.8°, intensity 24; 1.346 Å, 2θ = 69.9°, intensity 23; 1.244 Å, 2θ = 76.6°, intensity 19

***

Entry 11:
For CeYLuZn, a GGA-PBE-relaxed structure gives the calculated XRD peak list in this record (Cu Kα, 1.54184 Å).
Kinematic intensities with the Lorentz-polarization factor, no thermal factor.

Cell and atoms:
Unit cell a=7.5058 b=7.5058 c=7.5058 alpha=90.00 beta=90.00 gamma=90.00
Positions (direct):
Ce 0.0000 0.0000 0.0000
Ce 0.0000 0.5000 0.5000
Ce 0.5000 0.0000 0.5000
Ce 0.5000 0.5000 0.0000
Y 0.0000 0.0000 0.5000
Y 0.0000 0.5000 0.0000
Y 0.5000 0.0000 0.0000
Y 0.5000 0.5000 0.5000
Lu 0.2500 0.2500 0.7500
Lu 0.2500 0.7500 0.2500
Lu 0.7500 0.2500 0.2500
Lu 0.7500 0.7500 0.7500
Zn 0.2500 0.2500 0.2500
Zn 0.2500 0.7500 0.7500
Zn 0.7500 0.2500 0.7500
Zn 0.7500 0.7500 0.2500

The 10 most intense peaks (10° ≤ 2θ ≤ 90°), most intense first:
2.654 Å, 2θ = 33.8°, intensity 100; 1.532 Å, 2θ = 60.4°, intensity 37; 1.876 Å, 2θ = 48.5°, intensity 18; 1.187 Å, 2θ = 81.0°, intensity 16; 4.333 Å, 2θ = 20.5°, intensity 13; 1.327 Å, 2θ = 71.0°, intensity 11; 2.263 Å, 2θ = 39.8°, intensity 7; 1.722 Å, 2θ = 53.2°, intensity 3; 1.269 Å, 2θ = 74.8°, intensity 2; 1.444 Å, 2θ = 64.5°, intensity 2

***

Entry 12:
For Rb2NaTl12In3, a GGA-PBE-relaxed structure gives the calculated XRD peak list in this record (Cu Kα, 1.54184 Å).
Kinematic intensities with the Lorentz-polarization factor, no thermal factor.

Cell and atoms:
Unit cell a=8.5000 b=8.5000 c=8.5000 alpha=84.98 beta=84.98 gamma=84.98
Positions (direct):
Rb 0.2192 0.2192 0.2192
Rb 0.7808 0.7808 0.7808
Na 0.5000 0.5000 0.5000
Tl 0.0889 0.0889 0.6320
Tl 0.0889 0.6320 0.0889
Tl 0.2093 0.6938 0.6938
Tl 0.3062 0.3062 0.7907
Tl 0.3062 0.7907 0.3062
Tl 0.3680 0.9111 0.9111
Tl 0.6320 0.0889 0.0889
Tl 0.6938 0.2093 0.6938
Tl 0.6938 0.6938 0.2093
Tl 0.7907 0.3062 0.3062
Tl 0.9111 0.3680 0.9111
Tl 0.9111 0.9111 0.3680
In 0.0000 0.5000 0.5000
In 0.5000 0.0000 0.5000
In 0.5000 0.5000 0.0000

The 10 most intense peaks (10° ≤ 2θ ≤ 90°), most intense first:
2.871 Å, 2θ = 31.2°, intensity 100; 2.686 Å, 2θ = 33.4°, intensity 84; 5.742 Å, 2θ = 15.4°, intensity 31; 1.961 Å, 2θ = 46.3°, intensity 31; 1.619 Å, 2θ = 56.9°, intensity 31; 1.657 Å, 2θ = 55.4°, intensity 17; 1.519 Å, 2θ = 61.0°, intensity 14; 1.216 Å, 2θ = 78.7°, intensity 12; 1.266 Å, 2θ = 75.0°, intensity 11; 2.433 Å, 2θ = 36.9°, intensity 10

***

Entry 13:
For CeSc4Bi5, a GGA-PBE-relaxed structure gives the calculated XRD peak list in this record (Cu Kα, 1.54184 Å).
Kinematic intensities with the Lorentz-polarization factor, no thermal factor.

Cell and atoms:
Unit cell a=11.4443 b=11.4443 c=11.4443 alpha=158.17 beta=148.72 gamma=38.47
Positions (direct):
Ce 0.0000 0.0000 0.0000
Sc 0.2053 0.2053 0.0000
Sc 0.3992 0.3992 0.0000
Sc 0.6008 0.6008 0.0000
Sc 0.7947 0.7947 0.0000
Bi 0.1081 0.6081 0.5000
Bi 0.3017 0.8017 0.5000
Bi 0.5000 0.0000 0.5000
Bi 0.6983 0.1983 0.5000
Bi 0.8919 0.3919 0.5000

The 10 most intense peaks (10° ≤ 2θ ≤ 90°), most intense first:
3.060 Å, 2θ = 29.2°, intensity 100; 3.543 Å, 2θ = 25.1°, intensity 78; 2.173 Å, 2θ = 41.6°, intensity 78; 3.085 Å, 2θ = 28.9°, intensity 52; 1.772 Å, 2θ = 51.6°, intensity 41; 1.847 Å, 2θ = 49.3°, intensity 26; 1.371 Å, 2θ = 68.5°, intensity 26; 2.167 Å, 2θ = 41.7°, intensity 20; 1.378 Å, 2θ = 68.1°, intensity 18; 2.161 Å, 2θ = 41.8°, intensity 18